The following is a theoretical X-ray diffraction stick pattern of Cs3LiCl4. It was derived from DFT lattice parameters and positions (PBE), using a wavelength of 1.5418 Å.
Kinematic intensities with the Lorentz-polarization factor, no thermal factor.

Structural model:
```
data_Cs3LiCl4
_chemical_formula_sum 'Cs6 Li2 Cl8'
_symmetry_space_group_name_H-M 'P 1'
_symmetry_Int_Tables_number 1
_cell_length_a 10.175
_cell_length_b 4.342
_cell_length_c 13.119
_cell_angle_alpha 90.00
_cell_angle_beta 90.00
_cell_angle_gamma 90.00
loop_
_symmetry_equiv_pos_as_xyz
'x,y,z'
loop_
_atom_site_label
_atom_site_fract_x
_atom_site_fract_y
_atom_site_fract_z
_atom_site_occupancy
Cs1 0.000 0.000 0.000 1
Cs2 0.000 0.500 0.500 1
Cs3 0.269 0.000 0.231 1
Cs4 0.269 0.500 0.731 1
Cs5 0.731 0.000 0.231 1
Cs6 0.731 0.500 0.731 1
Li1 0.500 0.000 0.450 1
Li2 0.500 0.500 0.950 1
Cl1 0.000 0.000 0.737 1
Cl2 0.000 0.500 0.237 1
Cl3 0.281 0.000 0.515 1
Cl4 0.281 0.500 0.015 1
Cl5 0.500 0.000 0.842 1
Cl6 0.500 0.500 0.342 1
Cl7 0.719 0.000 0.515 1
Cl8 0.719 0.500 0.015 1
```

Largest 12 diffraction maxima, in order of rising 2θ, 2θ = 10–90°:
d 5.513, 16.08 deg, rel. 21.7, hkl 1 0 2; d 4.122, 21.56 deg, rel. 31.2, hkl 0 1 1; d 4.020, 22.11 deg, rel. 53.2, hkl 2 0 2; d 3.280, 27.19 deg, rel. 41.5, hkl 0 0 4; d 3.203, 27.86 deg, rel. 100.0, hkl 2 1 1; d 3.081, 28.98 deg, rel. 19.9, hkl 0 1 3; d 2.949, 30.31 deg, rel. 28.5, hkl 1 1 3; d 2.635, 34.02 deg, rel. 66.8, hkl 2 1 3; d 2.544, 35.28 deg, rel. 24.5, hkl 4 0 0; d 2.010, 45.12 deg, rel. 26.6, hkl 4 0 4; d 1.630, 56.45 deg, rel. 22.6, hkl 2 1 7; d 1.475, 63.03 deg, rel. 21.9, hkl 4 2 4

=====

The following is a theoretical X-ray diffraction stick pattern of CaSc2Te. It was derived from DFT lattice parameters and positions (PBE), using a wavelength of 1.5418 Å.
Kinematic intensities with the Lorentz-polarization factor, no thermal factor.

Structural model:
```
data_CaSc2Te
_chemical_formula_sum 'Ca1 Sc2 Te1'
_symmetry_space_group_name_H-M 'P 1'
_symmetry_Int_Tables_number 1
_cell_length_a 3.779
_cell_length_b 3.779
_cell_length_c 7.598
_cell_angle_alpha 90.00
_cell_angle_beta 90.00
_cell_angle_gamma 90.00
loop_
_symmetry_equiv_pos_as_xyz
'x,y,z'
loop_
_atom_site_label
_atom_site_fract_x
_atom_site_fract_y
_atom_site_fract_z
_atom_site_occupancy
Ca1 0.000 0.000 0.000 1
Sc1 0.000 0.000 0.530 1
Sc2 0.500 0.500 0.311 1
Te1 0.500 0.500 0.720 1
```

Largest 12 diffraction maxima, in order of rising 2θ, 2θ = 10–90°:
d 7.598, 11.65 deg, rel. 33.1, hkl 0 0 1; d 3.779, 23.54 deg, rel. 9.3, hkl 1 0 0; d 3.384, 26.34 deg, rel. 14.0, hkl 1 0 1; d 2.677, 33.48 deg, rel. 100.0, hkl 1 1 0; d 2.521, 35.62 deg, rel. 9.3, hkl 1 1 1; d 2.104, 42.99 deg, rel. 12.9, hkl 1 0 3; d 1.890, 48.16 deg, rel. 12.9, hkl 2 0 0; d 1.838, 49.59 deg, rel. 6.1, hkl 1 1 3; d 1.548, 59.73 deg, rel. 5.6, hkl 1 1 4; d 1.544, 59.90 deg, rel. 21.3, hkl 2 1 2; d 1.406, 66.51 deg, rel. 6.8, hkl 2 1 3; d 1.195, 80.32 deg, rel. 9.7, hkl 3 1 0

=====

The following is a theoretical X-ray diffraction stick pattern of NdGa4Pt2. It was derived from DFT lattice parameters and positions (PBE), using a wavelength of 1.5418 Å.
Kinematic intensities with the Lorentz-polarization factor, no thermal factor.

Structural model:
```
data_NdGa4Pt2
_chemical_formula_sum 'Nd4 Ga16 Pt8'
_symmetry_space_group_name_H-M 'P 1'
_symmetry_Int_Tables_number 1
_cell_length_a 17.598
_cell_length_b 4.358
_cell_length_c 6.669
_cell_angle_alpha 90.00
_cell_angle_beta 90.00
_cell_angle_gamma 90.00
loop_
_symmetry_equiv_pos_as_xyz
'x,y,z'
loop_
_atom_site_label
_atom_site_fract_x
_atom_site_fract_y
_atom_site_fract_z
_atom_site_occupancy
Nd1 0.140 0.250 0.010 1
Nd2 0.360 0.750 0.510 1
Nd3 0.640 0.250 0.490 1
Nd4 0.860 0.750 0.990 1
Ga1 0.037 0.750 0.842 1
Ga2 0.071 0.250 0.488 1
Ga3 0.183 0.750 0.319 1
Ga4 0.190 0.750 0.724 1
Ga5 0.310 0.250 0.224 1
Ga6 0.317 0.250 0.819 1
Ga7 0.429 0.750 0.988 1
Ga8 0.463 0.250 0.342 1
Ga9 0.537 0.750 0.658 1
Ga10 0.571 0.250 0.012 1
Ga11 0.683 0.750 0.181 1
Ga12 0.690 0.750 0.776 1
Ga13 0.810 0.250 0.276 1
Ga14 0.817 0.250 0.681 1
Ga15 0.929 0.750 0.512 1
Ga16 0.963 0.250 0.158 1
Pt1 0.036 0.750 0.253 1
Pt2 0.217 0.250 0.525 1
Pt3 0.283 0.750 0.025 1
Pt4 0.464 0.250 0.753 1
Pt5 0.536 0.750 0.247 1
Pt6 0.717 0.250 0.975 1
Pt7 0.783 0.750 0.475 1
Pt8 0.964 0.250 0.747 1
```

Largest 12 diffraction maxima, in order of rising 2θ, 2θ = 10–90°:
d 3.116, 28.65 deg, rel. 28.1, hkl 2 0 2; d 3.097, 28.83 deg, rel. 15.8, hkl 4 1 0; d 2.535, 35.41 deg, rel. 100.0, hkl 2 1 2; d 2.352, 38.26 deg, rel. 21.7, hkl 7 0 1; d 2.179, 41.44 deg, rel. 34.1, hkl 0 2 0; d 1.965, 46.19 deg, rel. 37.2, hkl 8 1 0; d 1.932, 47.04 deg, rel. 12.8, hkl 2 1 3; d 1.786, 51.16 deg, rel. 11.7, hkl 2 2 2; d 1.666, 55.12 deg, rel. 12.3, hkl 0 0 4; d 1.598, 57.67 deg, rel. 13.2, hkl 7 2 1; d 1.391, 67.34 deg, rel. 14.5, hkl 12 1 0; d 1.316, 71.70 deg, rel. 14.9, hkl 2 3 2